This entry pairs a crystal structure of MgV6Fe4O24 with its calculated powder diffractogram. Radiation: λ = 1.5418 Å (Cu Kα). Structure: a DFT-relaxed cell (PBE+U, the Materials Project).
Peak positions follow from Bragg's law for the DFT cell and can differ from measured ones.

Peak list (12 most intense, 10 to 80 degrees two-theta, in order of rising 2θ)
| 2θ (°) | Rel. int. | index |
| --- | --- | --- |
| 11.76 | 100 | 0 1 0 |
| 14.29 | 29 | 1 0 -1 |
| 14.42 | 24 | 1 0 0 |
| 15.18 | 42 | 1 -1 0 |
| 21.83 | 34 | 1 1 -2 |
| 24.59 | 28 | -1 1 2 |
| 27.13 | 71 | 2 0 -1 |
| 27.36 | 40 | 2 -1 0 |
| 27.66 | 74 | 0 1 -3 |
| 27.93 | 57 | 1 -2 2 |
| 29.08 | 82 | 0 2 1 |
| 33.61 | 25 | 0 3 -2 |

Atomic structure:
```
data_MgV6Fe4O24
_chemical_formula_sum 'Mg1 V6 Fe4 O24'
_cell_length_a 6.7686
_cell_length_b 8.3873
_cell_length_c 10.0166
_cell_angle_alpha 107.33
_cell_angle_beta 105.04
_cell_angle_gamma 103.78
_symmetry_space_group_name_H-M 'P -1'
_symmetry_Int_Tables_number 2
_symmetry_space_group_name_Hall '-P 1'
loop_
_atom_site_label
_atom_site_fract_x
_atom_site_fract_y
_atom_site_fract_z
Mg1 0.0000 0.0000 0.0000
V1 0.1150 0.6061 0.8387
V2 0.2039 0.1661 0.7658
V3 0.3898 0.2455 0.3602
Fe1 0.0525 0.7053 0.5147
Fe2 0.3723 0.4612 0.1049
O1 0.0102 0.2258 0.6575
O2 0.0674 0.5562 0.6425
O3 0.1167 0.5047 0.1415
O4 0.1525 0.8220 0.9177
O5 0.1630 0.9447 0.6769
O6 0.2070 0.2132 0.9548
O7 0.2211 0.0546 0.2115
O8 0.2417 0.3060 0.4770
O9 0.3413 0.5459 0.9301
O10 0.3625 0.7583 0.5348
O11 0.4493 0.3994 0.2776
O12 0.4576 0.2812 0.7716
```

=====

This entry pairs a crystal structure of V6Fe4Cu3O24 with its calculated powder diffractogram. Radiation: λ = 1.5418 Å (Cu Kα). Structure: a DFT-relaxed cell (PBE+U, the Materials Project).
Peak positions follow from Bragg's law for the DFT cell and can differ from measured ones.

Peak list (12 most intense, 10 to 80 degrees two-theta, in order of rising 2θ)
| 2θ (°) | Rel. int. | index |
| --- | --- | --- |
| 18.34 | 23 | -1 1 1 |
| 18.54 | 24 | 1 -1 1 |
| 25.29 | 20 | 1 -1 2 |
| 27.42 | 38 | 2 0 -1 |
| 27.64 | 100 | 0 1 -3 |
| 27.74 | 20 | 1 0 2 |
| 28.31 | 21 | 1 -2 2 |
| 28.98 | 90 | 0 2 1 |
| 29.50 | 17 | 2 0 -2 |
| 33.24 | 25 | 1 2 -3 |
| 34.50 | 19 | 0 3 -2 |
| 55.25 | 25 | -4 1 1 |

Atomic structure:
```
data_V6Fe4Cu3O24
_chemical_formula_sum 'V6 Fe4 Cu3 O24'
_cell_length_a 6.6661
_cell_length_b 8.1556
_cell_length_c 9.9544
_cell_angle_alpha 106.78
_cell_angle_beta 103.04
_cell_angle_gamma 102.48
_symmetry_space_group_name_H-M 'P -1'
_symmetry_Int_Tables_number 2
_symmetry_space_group_name_Hall '-P 1'
loop_
_atom_site_label
_atom_site_fract_x
_atom_site_fract_y
_atom_site_fract_z
V1 0.0856 0.2656 0.1229
V2 0.2836 0.3447 0.7341
V3 0.3867 0.8923 0.6615
Fe1 0.1217 0.0511 0.3929
Fe2 0.4605 0.7997 0.9903
Cu1 0.2174 0.7099 0.2006
Cu2 0.5000 0.5000 0.5000
O1 0.0261 0.2289 0.7351
O2 0.0623 0.1469 0.2415
O3 0.1646 0.7749 0.0119
O4 0.1672 0.9607 0.5720
O5 0.1927 0.4892 0.2334
O6 0.2586 0.2048 0.0270
O7 0.2986 0.3096 0.5514
O8 0.3251 0.5638 0.8230
O9 0.3654 0.6749 0.5763
O10 0.3760 0.9832 0.3508
O11 0.4204 0.9393 0.8523
O12 0.4965 0.2837 0.8343
```

=====

This entry pairs a crystal structure of Eu3YMn4O12 with its calculated powder diffractogram. Radiation: λ = 1.5418 Å (Cu Kα). Structure: a DFT-relaxed cell (PBE+U, the Materials Project).
Peak positions follow from Bragg's law for the DFT cell and can differ from measured ones.

Peak list (12 most intense, 10 to 80 degrees two-theta, in order of rising 2θ)
| 2θ (°) | Rel. int. | index |
| --- | --- | --- |
| 31.75 | 43 | 0 0 2 |
| 32.53 | 100 | 1 2 -1 |
| 32.70 | 97 | 1 2 1 |
| 33.05 | 49 | 2 0 0 |
| 40.68 | 23 | 2 2 0 |
| 46.24 | 24 | 2 0 -2 |
| 46.73 | 22 | 2 0 2 |
| 47.11 | 30 | 0 4 0 |
| 47.85 | 20 | 0 3 2 |
| 58.60 | 22 | 3 2 -1 |
| 58.74 | 22 | 2 4 0 |
| 58.91 | 21 | 3 2 1 |

Atomic structure:
```
data_Eu3YMn4O12
_chemical_formula_sum 'Eu3 Y1 Mn4 O12'
_cell_length_a 5.4215
_cell_length_b 7.7170
_cell_length_c 5.6364
_cell_angle_alpha 90.00
_cell_angle_beta 90.57
_cell_angle_gamma 90.00
_symmetry_space_group_name_H-M 'P 1 m 1'
_symmetry_Int_Tables_number 6
_symmetry_space_group_name_Hall 'P -2y'
loop_
_atom_site_label
_atom_site_fract_x
_atom_site_fract_y
_atom_site_fract_z
Eu1 0.0000 0.0000 0.0000
Eu2 0.0251 0.5000 0.1063
Eu3 0.5237 0.0000 0.5038
Y1 0.4994 0.5000 0.6186
Mn1 0.0120 0.2520 0.5536
Mn2 0.5146 0.2509 0.0564
O1 0.0923 0.0000 0.5738
O2 0.2237 0.2982 0.8437
O3 0.3105 0.3007 0.3599
O4 0.4341 0.0000 0.0751
O5 0.5931 0.5000 0.0243
O6 0.7196 0.2126 0.7538
O7 0.8130 0.2096 0.2566
O8 0.9129 0.5000 0.5346
```

=====

This entry pairs a crystal structure of BaCrCdF7 with its calculated powder diffractogram. Radiation: λ = 1.5418 Å (Cu Kα). Structure: a DFT-relaxed cell (PBE+U, the Materials Project).
Peak positions follow from Bragg's law for the DFT cell and can differ from measured ones.

Peak list (12 most intense, 10 to 80 degrees two-theta, in order of rising 2θ)
| 2θ (°) | Rel. int. | index |
| --- | --- | --- |
| 24.85 | 100 | 3 1 0 |
| 26.17 | 26 | 2 0 -4 |
| 26.78 | 23 | 2 0 4 |
| 29.03 | 39 | 1 1 -4 |
| 29.30 | 33 | 1 1 4 |
| 32.68 | 21 | 0 2 0 |
| 39.61 | 13 | 2 2 3 |
| 40.17 | 12 | 6 0 2 |
| 42.34 | 12 | 2 2 -4 |
| 42.46 | 20 | 5 1 -4 |
| 42.74 | 14 | 2 2 4 |
| 53.90 | 15 | 3 1 -8 |

Atomic structure:
```
data_BaCrCdF7
_chemical_formula_sum 'Ba8 Cr8 Cd8 F56'
_cell_length_a 14.2148
_cell_length_b 5.4797
_cell_length_c 15.2979
_cell_angle_alpha 90.00
_cell_angle_beta 91.54
_cell_angle_gamma 90.00
_symmetry_space_group_name_H-M 'C 1 2/c 1'
_symmetry_Int_Tables_number 15
_symmetry_space_group_name_Hall '-C 2yc'
loop_
_atom_site_label
_atom_site_fract_x
_atom_site_fract_y
_atom_site_fract_z
Ba1 0.1890 0.0410 0.1235
Cr1 0.1223 0.0082 0.8753
Cd1 0.0000 0.4529 0.7500
Cd2 0.0000 0.5000 0.0000
F1 0.0062 0.1098 0.6565
F2 0.0628 0.4052 0.1287
F3 0.0862 0.1618 0.4812
F4 0.1220 0.2747 0.2988
F5 0.1347 0.2971 0.9515
F6 0.1652 0.2106 0.7784
F7 0.2504 0.0633 0.4087
```

=====

This entry pairs a crystal structure of FeSO4 with its calculated powder diffractogram. Radiation: λ = 1.5418 Å (Cu Kα). Structure: a DFT-relaxed cell (PBE+U, the Materials Project).
Peak positions follow from Bragg's law for the DFT cell and can differ from measured ones.

Peak list (12 most intense, 10 to 80 degrees two-theta, in order of rising 2θ)
| 2θ (°) | Rel. int. | index |
| --- | --- | --- |
| 20.14 | 18 | 2 0 0 |
| 20.78 | 55 | 1 0 1 |
| 23.94 | 42 | 2 1 0 |
| 24.48 | 100 | 1 1 1 |
| 32.94 | 65 | 2 2 0 |
| 33.35 | 56 | 1 2 1 |
| 35.64 | 56 | 3 0 1 |
| 36.77 | 18 | 0 0 2 |
| 44.52 | 20 | 3 2 1 |
| 50.19 | 36 | 2 2 2 |
| 57.54 | 19 | 1 0 3 |
| 62.07 | 21 | 5 2 1 |

Atomic structure:
```
data_FeSO4
_chemical_formula_sum 'Fe4 S4 O16'
_cell_length_a 8.8179
_cell_length_b 6.9084
_cell_length_c 4.8886
_cell_angle_alpha 90.00
_cell_angle_beta 90.00
_cell_angle_gamma 90.00
_symmetry_space_group_name_H-M 'P n m a'
_symmetry_Int_Tables_number 62
_symmetry_space_group_name_Hall '-P 2ac 2n'
loop_
_atom_site_label
_atom_site_fract_x
_atom_site_fract_y
_atom_site_fract_z
Fe1 0.0000 0.0000 0.0000
S1 0.1768 0.2500 0.4743
O1 0.1198 0.2500 0.7622
O2 0.1256 0.0718 0.3356
O3 0.1518 0.7500 0.9691
```

=====

This entry pairs a crystal structure of Eu2Ni2O5 with its calculated powder diffractogram. Radiation: λ = 1.5418 Å (Cu Kα). Structure: a DFT-relaxed cell (PBE+U, the Materials Project).
Peak positions follow from Bragg's law for the DFT cell and can differ from measured ones.

Peak list (12 most intense, 10 to 80 degrees two-theta, in order of rising 2θ)
| 2θ (°) | Rel. int. | index |
| --- | --- | --- |
| 11.42 | 24 | 0 0 1 |
| 22.80 | 44 | 1 -1 0 |
| 31.59 | 64 | 0 2 -1 |
| 32.48 | 100 | 1 1 1 |
| 32.66 | 100 | 1 1 -3 |
| 33.31 | 66 | 2 0 -1 |
| 39.41 | 20 | 0 2 1 |
| 46.50 | 28 | 2 -2 0 |
| 46.63 | 28 | 2 2 -2 |
| 46.89 | 21 | 0 0 4 |
| 56.92 | 27 | 1 3 0 |
| 58.89 | 19 | 3 1 0 |

Atomic structure:
```
data_Eu2Ni2O5
_chemical_formula_sum 'Eu4 Ni4 O10'
_cell_length_a 5.3802
_cell_length_b 5.6637
_cell_length_c 8.6615
_cell_angle_alpha 109.08
_cell_angle_beta 107.65
_cell_angle_gamma 90.15
_symmetry_space_group_name_H-M 'P 1'
_symmetry_Int_Tables_number 1
_symmetry_space_group_name_Hall 'P 1'
loop_
_atom_site_label
_atom_site_fract_x
_atom_site_fract_y
_atom_site_fract_z
Eu1 0.0000 0.0000 0.0000
Eu2 0.2134 0.2586 0.4335
Eu3 0.5004 0.5414 0.0011
Eu4 0.7156 0.7175 0.4350
Ni1 0.1129 0.6294 0.2119
Ni2 0.3198 0.9484 0.7176
Ni3 0.6186 0.1354 0.2240
Ni4 0.8236 0.3183 0.7176
O1 0.0032 0.5616 0.9446
O2 0.2854 0.7059 0.5063
O3 0.3489 0.3632 0.1916
O4 0.3763 0.8966 0.2439
O5 0.4499 0.2567 0.7149
O6 0.4971 0.9189 0.9279
O7 0.7737 0.3354 0.4902
O8 0.8486 0.3721 0.1905
O9 0.8748 0.8896 0.2430
O10 0.9676 0.9925 0.7175
```

=====

This entry pairs a crystal structure of MgZn2Fe4O8 with its calculated powder diffractogram. Radiation: λ = 1.5418 Å (Cu Kα). Structure: a DFT-relaxed cell (PBE+U, the Materials Project).
Peak positions follow from Bragg's law for the DFT cell and can differ from measured ones.

Peak list (12 most intense, 10 to 80 degrees two-theta, in order of rising 2θ)
| 2θ (°) | Rel. int. | index |
| --- | --- | --- |
| 13.27 | 40 | 2 0 0 |
| 24.67 | 39 | 0 0 2 |
| 31.75 | 33 | 1 1 -1 |
| 32.14 | 78 | 4 0 -3 |
| 33.99 | 66 | 2 0 2 |
| 34.53 | 100 | 1 1 1 |
| 35.28 | 49 | 6 0 -1 |
| 42.20 | 82 | 5 1 -2 |
| 50.69 | 39 | 7 1 -2 |
| 53.16 | 61 | 5 1 -4 |
| 57.35 | 33 | 7 1 0 |
| 61.18 | 29 | 3 1 3 |

Atomic structure:
```
data_MgZn2Fe4O8
_chemical_formula_sum 'Mg2 Zn4 Fe8 O16'
_cell_length_a 15.8104
_cell_length_b 2.9849
_cell_length_c 8.5525
_cell_angle_alpha 90.00
_cell_angle_beta 122.43
_cell_angle_gamma 90.00
_symmetry_space_group_name_H-M 'C 1 2 1'
_symmetry_Int_Tables_number 5
_symmetry_space_group_name_Hall 'C 2y'
loop_
_atom_site_label
_atom_site_fract_x
_atom_site_fract_y
_atom_site_fract_z
Mg1 0.0000 0.0000 0.0000
Zn1 0.2076 0.0018 0.2480
Fe1 0.0851 0.0028 0.3976
Fe2 0.1503 0.5017 0.8394
O1 0.0631 0.0018 0.8271
O2 0.0999 0.5010 0.2045
O3 0.1376 0.5028 0.5808
O4 0.2432 0.5023 0.1171
```

=====

This entry pairs a crystal structure of AlTlFe2F2 with its calculated powder diffractogram. Radiation: λ = 1.5418 Å (Cu Kα). Structure: a DFT-relaxed cell (PBE+U, the Materials Project).
Peak positions follow from Bragg's law for the DFT cell and can differ from measured ones.

Peak list (12 most intense, 10 to 80 degrees two-theta, in order of rising 2θ)
| 2θ (°) | Rel. int. | index |
| --- | --- | --- |
| 19.19 | 91 | 1 1 0 |
| 24.13 | 100 | 1 1 2 |
| 27.26 | 75 | 2 0 0 |
| 29.24 | 52 | 0 0 4 |
| 31.01 | 80 | 2 0 2 |
| 31.44 | 30 | 2 1 1 |
| 35.21 | 85 | 1 1 4 |
| 38.94 | 37 | 2 2 0 |
| 40.41 | 25 | 2 0 4 |
| 41.76 | 26 | 2 2 2 |
| 46.34 | 99 | 3 1 2 |
| 64.19 | 54 | 3 1 6 |

Atomic structure:
```
data_AlTlFe2F2
_chemical_formula_sum 'Al4 Tl4 Fe8 F8'
_cell_length_a 6.5420
_cell_length_b 6.5420
_cell_length_c 12.2162
_cell_angle_alpha 90.00
_cell_angle_beta 90.00
_cell_angle_gamma 90.00
_symmetry_space_group_name_H-M 'I 4/m c m'
_symmetry_Int_Tables_number 140
_symmetry_space_group_name_Hall '-I 4 2c'
loop_
_atom_site_label
_atom_site_fract_x
_atom_site_fract_y
_atom_site_fract_z
Al1 0.0000 0.0000 0.0000
Tl1 0.0000 0.5000 0.2500
Fe1 0.1428 0.3572 0.0000
F1 0.0000 0.0000 0.1444
```

=====

This entry pairs a crystal structure of V2ZnO4 with its calculated powder diffractogram. Radiation: λ = 1.5418 Å (Cu Kα). Structure: a DFT-relaxed cell (PBE+U, the Materials Project).
Peak positions follow from Bragg's law for the DFT cell and can differ from measured ones.

Peak list (12 most intense, 10 to 80 degrees two-theta, in order of rising 2θ)
| 2θ (°) | Rel. int. | index |
| --- | --- | --- |
| 17.20 | 42 | 0 2 0 |
| 24.30 | 100 | 1 1 1 |
| 28.62 | 31 | 1 2 1 |
| 34.61 | 67 | 0 0 2 |
| 34.71 | 87 | 2 2 0 |
| 34.81 | 37 | 0 4 0 |
| 38.89 | 90 | 2 2 1 |
| 43.75 | 61 | 0 3 2 |
| 49.86 | 59 | 0 4 2 |
| 49.92 | 83 | 2 4 1 |
| 61.99 | 48 | 2 0 3 |
| 62.10 | 27 | 4 0 0 |

Atomic structure:
```
data_V2ZnO4
_chemical_formula_sum 'V8 Zn4 O16'
_cell_length_a 5.9783
_cell_length_b 10.3083
_cell_length_c 5.1885
_cell_angle_alpha 90.00
_cell_angle_beta 90.00
_cell_angle_gamma 90.00
_symmetry_space_group_name_H-M 'P m m n'
_symmetry_Int_Tables_number 59
loop_
_symmetry_equiv_pos_as_xyz
'x,y,z'
'-x,-y,-z'
'-x+1/2,-y+1/2,z'
'x+1/2,y+1/2,-z'
'x+1/2,-y,-z'
'-x+1/2,y,z'
'-x,y+1/2,-z'
'x,-y+1/2,z'
loop_
_atom_site_label
_atom_site_fract_x
_atom_site_fract_y
_atom_site_fract_z
V1 0.0000 0.0000 0.0000
V2 0.2500 0.0157 0.4872
Zn1 0.2500 0.2500 0.8505
Zn2 0.2500 0.7500 0.5358
O1 0.0020 0.6131 0.3345
O2 0.2500 0.1089 0.1434
O3 0.2500 0.5985 0.8073
```